Simulated X-ray diffraction stick pattern of Tb2Ga8Fe for λ = 1.5418 Å (Cu Kα), from a cell relaxed with PBE.
Neutral-atom scattering factors, no anomalous dispersion.

Most intense lines, 15° ≤ 2θ ≤ 90°, sorted by position:
d_spacing, 2θ (°), I/Imax, h k l
4.235, 21.0, 211, 1 0 0
2.643, 33.9, 587, 1 1 2
2.340, 38.5, 1000, 1 1 3
2.251, 40.1, 255, 0 0 5
2.117, 42.7, 592, 2 0 0
1.542, 60.0, 306, 2 0 5
1.497, 62.0, 191, 2 2 0
1.273, 74.5, 136, 1 1 8
1.261, 75.4, 263, 3 1 3
1.247, 76.4, 148, 2 2 5

Cell and atoms:
```
data_Tb2Ga8Fe
_symmetry_space_group_name_H-M 'P 4/m m m'
_symmetry_Int_Tables_number 123
_symmetry_space_group_name_Hall '-P 4 2'
_cell_length_a 4.2345
_cell_length_b 4.2345
_cell_length_c 11.2530
_cell_angle_alpha 90.00
_cell_angle_beta 90.00
_cell_angle_gamma 90.00
loop_
_atom_site_label
_atom_site_fract_x
_atom_site_fract_y
_atom_site_fract_z
Tb1 0.0000 0.0000 0.1961
Ga1 0.0000 0.5000 0.0000
Ga2 0.0000 0.5000 0.3860
Ga3 0.5000 0.5000 0.1982
Fe1 0.0000 0.0000 0.5000
```